Computed PXRD pattern of Co2CCl2O3 for Cu Kα (weighted mean of Kα1 and Kα2), from a PBE+U-relaxed structure.
Kinematic intensities with the Lorentz-polarization factor, no thermal factor.

Cell and atoms:
Lattice parameters (Å, degrees): 4.804 6.004 8.213 90.00 103.10 90.00
Fractional coordinates of all 16 atoms:
Co  0.000  0.000  0.000
Co  0.000  0.500  0.000
Co  0.279  0.250  0.727
Co  0.721  0.750  0.273
C  0.437  0.750  0.864
C  0.563  0.250  0.136
Cl  0.201  0.750  0.222
Cl  0.222  0.250  0.459
Cl  0.778  0.750  0.541
Cl  0.799  0.250  0.778
O  0.286  0.250  0.098
O  0.296  0.564  0.851
O  0.296  0.936  0.851
O  0.704  0.064  0.149
O  0.704  0.436  0.149
O  0.714  0.750  0.902

The 10 most intense peaks (2θ from 5° to 70°), by intensity:
- 11.1 deg, rel. 100
- 24.1 deg, rel. 50
- 37.5 deg, rel. 48
- 18.5 deg, rel. 46
- 36.9 deg, rel. 43
- 49.4 deg, rel. 32
- 31.8 deg, rel. 30
- 34.7 deg, rel. 19
- 52.9 deg, rel. 18
- 28.4 deg, rel. 16